Simulated powder diffraction line list of Sm5ScSn5 for CuKα, from a cell relaxed with GGA-PBE.

Principal peaks in the range 15 to 90 degrees two-theta, low angle first:
two_theta  I/Imax
28.37  16
29.46  100
30.61  14
31.11  37
31.68  16
34.72  33
36.28  11
42.15  31
43.37  30
46.15  30

Cell and atoms:
```
data_Sm5ScSn5
_chemical_formula_sum 'Sm5 Sc1 Sn5'
_space_group_name_H-M_alt 'P 1'
_space_group_IT_number 1
_cell_length_a 8.6182
_cell_length_b 8.6182
_cell_length_c 7.1967
_cell_angle_alpha 105.04
_cell_angle_beta 105.04
_cell_angle_gamma 41.22
loop_
_space_group_symop_operation_xyz
'x,y,z'
loop_
_atom_site_label
_atom_site_type_symbol
_atom_site_fract_x
_atom_site_fract_y
_atom_site_fract_z
Sm1 Sm 0.0000 0.0000 0.0000
Sm2 Sm 0.3183 0.3183 0.2110
Sm3 Sm 0.3488 0.3488 0.7254
Sm4 Sm 0.6512 0.6512 0.2746
Sm5 Sm 0.6817 0.6817 0.7890
Sc1 Sc 0.0000 0.0000 0.5000
Sn1 Sn 0.1612 0.1612 0.8476
Sn2 Sn 0.1629 0.1629 0.4031
Sn3 Sn 0.5000 0.5000 0.5000
Sn4 Sn 0.8371 0.8371 0.5969
Sn5 Sn 0.8388 0.8388 0.1524
```

***

Simulated powder diffraction line list of Sm3ScSn2 for CuKα, from a cell relaxed with GGA-PBE.

Principal peaks in the range 15 to 90 degrees two-theta, low angle first:
two_theta  I/Imax
27.77  39
28.74  34
29.72  88
31.53  39
34.99  100
37.36  30
39.68  68
51.53  45
57.36  23
68.99  28

Cell and atoms:
```
data_Sm3ScSn2
_chemical_formula_sum 'Sm3 Sc1 Sn2'
_space_group_name_H-M_alt 'P 1'
_space_group_IT_number 1
_cell_length_a 4.5433
_cell_length_b 4.5433
_cell_length_c 8.5133
_cell_angle_alpha 90.00
_cell_angle_beta 90.00
_cell_angle_gamma 90.00
loop_
_space_group_symop_operation_xyz
'x,y,z'
loop_
_atom_site_label
_atom_site_type_symbol
_atom_site_fract_x
_atom_site_fract_y
_atom_site_fract_z
Sm1 Sm 0.0000 0.0000 0.0000
Sm2 Sm 0.0000 0.5000 0.6526
Sm3 Sm 0.5000 0.0000 0.3474
Sc1 Sc 0.5000 0.5000 0.0000
Sn1 Sn 0.0000 0.5000 0.2717
Sn2 Sn 0.5000 0.0000 0.7283
```

***

Simulated powder diffraction line list of Tb5Sm5Sc2 for CuKα, from a cell relaxed with GGA-PBE.

Principal peaks in the range 15 to 90 degrees two-theta, low angle first:
two_theta  I/Imax
30.95  100
35.82  34
36.04  17
51.56  12
51.72  24
61.33  11
61.38  17
61.63  7
64.49  9
84.43  7

Cell and atoms:
```
data_Tb5Sm5Sc2
_chemical_formula_sum 'Tb5 Sm5 Sc2'
_space_group_name_H-M_alt 'P 1'
_space_group_IT_number 1
_cell_length_a 6.1161
_cell_length_b 7.9236
_cell_length_c 8.6738
_cell_angle_alpha 68.48
_cell_angle_beta 89.66
_cell_angle_gamma 75.00
loop_
_space_group_symop_operation_xyz
'x,y,z'
loop_
_atom_site_label
_atom_site_type_symbol
_atom_site_fract_x
_atom_site_fract_y
_atom_site_fract_z
Tb1 Tb 0.0000 0.0000 0.0000
Tb2 Tb 0.0852 0.2460 0.5829
Tb3 Tb 0.1674 0.4943 0.1690
Tb4 Tb 0.8326 0.5057 0.8310
Tb5 Tb 0.9148 0.7540 0.4171
Sm1 Sm 0.2485 0.7570 0.7451
Sm2 Sm 0.4174 0.2469 0.9172
Sm3 Sm 0.5000 0.5000 0.5000
Sm4 Sm 0.5826 0.7531 0.0828
Sm5 Sm 0.7515 0.2430 0.2549
Sc1 Sc 0.3374 0.9988 0.3365
Sc2 Sc 0.6626 0.0012 0.6635
```

***

Simulated powder diffraction line list of Tb3SmSc7 for CuKα, from a cell relaxed with GGA-PBE.

Principal peaks in the range 15 to 90 degrees two-theta, low angle first:
two_theta  I/Imax
16.50  47
24.93  100
32.81  46
33.36  35
34.11  19
34.47  85
34.70  43
48.05  14
59.72  19
65.64  16

Cell and atoms:
```
data_Tb3SmSc7
_chemical_formula_sum 'Tb3 Sm1 Sc7'
_space_group_name_H-M_alt 'P 1'
_space_group_IT_number 1
_cell_length_a 7.9917
_cell_length_b 7.9917
_cell_length_c 5.4590
_cell_angle_alpha 109.87
_cell_angle_beta 109.87
_cell_angle_gamma 82.27
loop_
_space_group_symop_operation_xyz
'x,y,z'
loop_
_atom_site_label
_atom_site_type_symbol
_atom_site_fract_x
_atom_site_fract_y
_atom_site_fract_z
Tb1 Tb 0.0000 0.0000 0.0000
Tb2 Tb 0.2112 0.7888 0.5000
Tb3 Tb 0.7888 0.2112 0.5000
Sm1 Sm 0.5000 0.5000 0.0000
Sc1 Sc 0.0278 0.4083 0.2179
Sc2 Sc 0.2067 0.2067 0.7059
Sc3 Sc 0.4083 0.0278 0.2179
Sc4 Sc 0.5000 0.5000 0.5000
Sc5 Sc 0.5917 0.9722 0.7821
Sc6 Sc 0.7933 0.7933 0.2941
Sc7 Sc 0.9722 0.5917 0.7821
```

***

Simulated powder diffraction line list of Tb12Sm5Sc2 for CuKα, from a cell relaxed with GGA-PBE.

Principal peaks in the range 15 to 90 degrees two-theta, low angle first:
two_theta  I/Imax
26.64  34
28.41  31
29.70  51
29.94  90
30.58  43
31.17  46
31.47  100
31.59  52
32.35  53
33.28  39

Cell and atoms:
```
data_Tb12Sm5Sc2
_chemical_formula_sum 'Tb12 Sm5 Sc2'
_space_group_name_H-M_alt 'P 1'
_space_group_IT_number 1
_cell_length_a 10.0400
_cell_length_b 10.0400
_cell_length_c 9.9006
_cell_angle_alpha 112.57
_cell_angle_beta 112.57
_cell_angle_gamma 42.49
loop_
_space_group_symop_operation_xyz
'x,y,z'
loop_
_atom_site_label
_atom_site_type_symbol
_atom_site_fract_x
_atom_site_fract_y
_atom_site_fract_z
Tb1 Tb 0.0044 0.0044 0.3154
Tb2 Tb 0.0919 0.5828 0.4984
Tb3 Tb 0.0924 0.5909 0.1439
Tb4 Tb 0.4091 0.9076 0.8561
Tb5 Tb 0.4172 0.9081 0.5016
Tb6 Tb 0.4898 0.4898 0.7895
Tb7 Tb 0.5102 0.5102 0.2105
Tb8 Tb 0.5828 0.0919 0.4984
Tb9 Tb 0.5909 0.0924 0.1439
Tb10 Tb 0.9076 0.4091 0.8561
Tb11 Tb 0.9081 0.4172 0.5016
Tb12 Tb 0.9956 0.9956 0.6846
Sm1 Sm 0.1789 0.1789 0.2000
Sm2 Sm 0.3186 0.3186 0.8188
Sm3 Sm 0.5000 0.5000 0.5000
Sm4 Sm 0.6814 0.6814 0.1812
Sm5 Sm 0.8211 0.8211 0.8000
Sc1 Sc 0.1960 0.8040 0.0000
Sc2 Sc 0.8040 0.1960 0.0000
```

***

Simulated powder diffraction line list of Tb4Sm2Sc3 for CuKα, from a cell relaxed with GGA-PBE.

Principal peaks in the range 15 to 90 degrees two-theta, low angle first:
two_theta  I/Imax
29.61  36
32.02  75
32.72  100
32.85  48
34.48  90
34.58  43
52.29  37
56.39  29
59.81  27
62.64  43

Cell and atoms:
```
data_Tb4Sm2Sc3
_chemical_formula_sum 'Tb4 Sm2 Sc3'
_space_group_name_H-M_alt 'P 1'
_space_group_IT_number 1
_cell_length_a 9.2453
_cell_length_b 9.2453
_cell_length_c 9.3081
_cell_angle_alpha 115.21
_cell_angle_beta 115.21
_cell_angle_gamma 21.91
loop_
_space_group_symop_operation_xyz
'x,y,z'
loop_
_atom_site_label
_atom_site_type_symbol
_atom_site_fract_x
_atom_site_fract_y
_atom_site_fract_z
Tb1 Tb 0.0195 0.0195 0.3374
Tb2 Tb 0.3136 0.3136 0.6671
Tb3 Tb 0.6864 0.6864 0.3329
Tb4 Tb 0.9805 0.9805 0.6626
Sm1 Sm 0.1637 0.1637 0.9911
Sm2 Sm 0.8363 0.8363 0.0089
Sc1 Sc 0.3523 0.3523 0.3372
Sc2 Sc 0.5000 0.5000 0.0000
Sc3 Sc 0.6477 0.6477 0.6628
```